[1]
Diffraction record for Er2Al8Os. The XRD peak list is theoretical, not measured: it uses a structure optimized by DFT (GGA-PBE) and Cu Kα.
Peak positions follow from Bragg's law for the DFT cell and can differ from measured ones.

Crystal structure
```
Er2Al8Os
1.0
4.2611 0.0000 0.0000
0.0000 4.2611 0.0000
0.0000 0.0000 11.2267
Er Al Os
2 8 1
Direct
0.0000 0.0000 0.1908
0.0000 0.0000 0.8092
0.0000 0.5000 0.0000
0.0000 0.5000 0.3799
0.0000 0.5000 0.6201
0.5000 0.0000 0.0000
0.5000 0.0000 0.3799
0.5000 0.0000 0.6201
0.5000 0.5000 0.1901
0.5000 0.5000 0.8099
0.0000 0.0000 0.5000
```

Top 10 peaks for 15 to 90 degrees two-theta, by angle:
2θ = 20.85°, intensity 100
2θ = 23.78°, intensity 28
2θ = 29.65°, intensity 33
2θ = 31.83°, intensity 65
2θ = 38.36°, intensity 95
2θ = 42.43°, intensity 41
2θ = 47.73°, intensity 23
2θ = 49.21°, intensity 17
2θ = 54.00°, intensity 31
2θ = 74.90°, intensity 26

[2]
Diffraction record for Zn3Cu3Ni5. The XRD peak list is theoretical, not measured: it uses a structure optimized by DFT (GGA-PBE) and Cu Kα.
Peak positions follow from Bragg's law for the DFT cell and can differ from measured ones.

Crystal structure
```
Zn3Cu3Ni5
1.0
4.4140 0.0000 0.0000
-0.7004 5.6779 0.0000
-1.4849 -1.9549 5.1978
Zn Cu Ni
3 3 5
Direct
0.0000 0.0000 0.0000
0.0962 0.8010 0.3899
0.3739 0.2759 0.4764
0.5492 0.9016 0.1937
0.6404 0.7212 0.5604
0.7389 0.5363 0.9300
0.1870 0.6283 0.7497
0.2818 0.4468 0.1021
0.4595 0.0879 0.8338
0.8215 0.3532 0.2856
0.9166 0.1808 0.6475
```

Top 10 peaks for 15 to 90 degrees two-theta, by angle:
2θ = 43.12°, intensity 81
2θ = 43.23°, intensity 81
2θ = 43.36°, intensity 81
2θ = 43.54°, intensity 80
2θ = 50.31°, intensity 50
2θ = 50.51°, intensity 100
2θ = 74.01°, intensity 29
2θ = 74.45°, intensity 29
2θ = 89.44°, intensity 17
2θ = 89.91°, intensity 26

[3]
Diffraction record for Cs2TmTiS4. The XRD peak list is theoretical, not measured: it uses a structure optimized by DFT (GGA-PBE) and Cu Kα.
Peak positions follow from Bragg's law for the DFT cell and can differ from measured ones.

Crystal structure
```
Cs2TmTiS4
1.0
0.0000 7.3250 12.9149
3.1524 0.0000 12.9149
3.1524 7.3250 0.0000
Cs Tm Ti S
4 2 2 8
Direct
0.0524 0.0524 0.6976
0.3024 0.3024 0.9476
0.6976 0.6976 0.0524
0.9476 0.9476 0.3024
0.1250 0.1250 0.1250
0.8750 0.8750 0.8750
0.3750 0.3750 0.3750
0.6250 0.6250 0.6250
0.0072 0.6436 0.5547
0.2945 0.5547 0.6436
0.3564 0.9928 0.7055
0.4453 0.7055 0.9928
0.5547 0.2945 0.0072
0.6436 0.0072 0.2945
0.7055 0.4453 0.3564
0.9928 0.3564 0.4453
```

Top 10 peaks for 15 to 90 degrees two-theta, by angle:
2θ = 15.68°, intensity 49
2θ = 23.07°, intensity 32
2θ = 23.30°, intensity 43
2θ = 23.98°, intensity 100
2θ = 24.30°, intensity 35
2θ = 28.87°, intensity 65
2θ = 30.88°, intensity 50
2θ = 35.29°, intensity 48
2θ = 43.31°, intensity 39
2θ = 47.08°, intensity 34